# 1
The following is a simulated powder diffractogram of TbHf3Al8. It was derived from a PBE-relaxed structure, using copper Kα.

Most intense lines, 5° ≤ 2θ ≤ 70°, in order of rising 2θ:
- (0 1 2), 20.32°, rel. 68
- (1 1 0), 33.48°, rel. 100
- (1 0 10), 39.47°, rel. 96
- (2 0 8), 48.07°, rel. 9
- (0 2 10), 52.65°, rel. 8
- (1 2 2), 52.75°, rel. 9
- (1 0 16), 59.74°, rel. 9
- (3 0 0), 59.88°, rel. 29
- (0 0 18), 63.81°, rel. 7
- (2 1 10), 63.91°, rel. 23

Crystal structure
```
data_TbHf3Al8
_chemical_formula_sum 'Tb3 Hf9 Al24'
_space_group_name_H-M_alt 'R 3 m'
_space_group_IT_number 160
_space_group_name_Hall 'R 3 -2"'
_cell_length_a 5.3482
_cell_length_b 5.3482
_cell_length_c 26.2796
_cell_angle_alpha 90.00
_cell_angle_beta 90.00
_cell_angle_gamma 120.00
loop_
_atom_site_label
_atom_site_type_symbol
_atom_site_fract_x
_atom_site_fract_y
_atom_site_fract_z
Tb1 Tb 0.0000 0.0000 0.0000
Hf1 Hf 0.0000 0.0000 0.3779
Hf2 Hf 0.0000 0.0000 0.4992
Hf3 Hf 0.0000 0.0000 0.8735
Al1 Al 0.0000 0.0000 0.1871
Al2 Al 0.0000 0.0000 0.6879
Al3 Al 0.0017 0.5009 0.4390
Al4 Al 0.1671 0.3342 0.2688
```

---

# 2
The following is a simulated powder diffractogram of TbHf2Al6. It was derived from a PBE-relaxed structure, using copper Kα.

Most intense lines, 5° ≤ 2θ ≤ 70°, in order of rising 2θ:
- (1 1 0), 22.81°, rel. 85
- (0 0 1), 27.89°, rel. 11
- (1 1 1), 36.33°, rel. 100
- (3 0 0), 40.06°, rel. 49
- (2 2 0), 46.60°, rel. 13
- (3 0 1), 49.52°, rel. 15
- (2 2 1), 55.19°, rel. 30
- (0 0 2), 57.64°, rel. 6
- (1 1 2), 62.80°, rel. 11
- (4 1 0), 63.10°, rel. 11

Crystal structure
```
data_TbHf2Al6
_chemical_formula_sum 'Tb1 Hf2 Al6'
_space_group_name_H-M_alt 'P 6/m m m'
_space_group_IT_number 191
_space_group_name_Hall '-P 6 2'
_cell_length_a 7.7962
_cell_length_b 7.7962
_cell_length_c 3.1985
_cell_angle_alpha 90.00
_cell_angle_beta 90.00
_cell_angle_gamma 120.00
loop_
_atom_site_label
_atom_site_type_symbol
_atom_site_fract_x
_atom_site_fract_y
_atom_site_fract_z
Tb1 Tb 0.0000 0.0000 0.0000
Hf1 Hf 0.3333 0.6667 0.0000
Al1 Al 0.0000 0.3375 0.5000
```

---

# 3
The following is a simulated powder diffractogram of HfAl10Tc2. It was derived from a PBE-relaxed structure, using copper Kα.

Most intense lines, 5° ≤ 2θ ≤ 70°, in order of rising 2θ:
- (1 1 0), 13.04°, rel. 30
- (1 1 1), 16.31°, rel. 49
- (0 2 0), 17.33°, rel. 40
- (2 0 2), 27.81°, rel. 54
- (2 2 1), 28.06°, rel. 31
- (1 1 3), 32.41°, rel. 32
- (4 0 0), 39.74°, rel. 70
- (2 2 3), 39.94°, rel. 41
- (0 4 2), 40.49°, rel. 100
- (4 4 2), 58.03°, rel. 42

Crystal structure
```
data_HfAl10Tc2
_chemical_formula_sum 'Hf4 Al40 Tc8'
_space_group_name_H-M_alt 'C m c m'
_space_group_IT_number 63
_space_group_name_Hall '-C 2c 2'
_cell_length_a 9.077
_cell_length_b 10.231
_cell_length_c 9.067
_cell_angle_alpha 90.00
_cell_angle_beta 90.00
_cell_angle_gamma 90.00
loop_
_atom_site_label
_atom_site_type_symbol
_atom_site_fract_x
_atom_site_fract_y
_atom_site_fract_z
Hf1 Hf 0.000 0.137 0.250
Al1 Al 0.000 0.142 0.595
Al2 Al 0.000 0.373 0.038
Al3 Al 0.159 0.369 0.750
Al4 Al 0.216 0.365 0.250
Al5 Al 0.228 0.000 0.000
Tc1 Tc 0.250 0.250 0.000
```

---

# 4
The following is a simulated powder diffractogram of HfAlTl2Te5. It was derived from a PBE-relaxed structure, using copper Kα.

Most intense lines, 5° ≤ 2θ ≤ 70°, in order of rising 2θ:
- (0 2 0), 8.72°, rel. 16
- (0 2 3), 19.77°, rel. 21
- (0 6 1), 27.04°, rel. 45
- (1 1 3), 28.84°, rel. 100
- (1 5 0), 31.35°, rel. 17
- (1 5 2), 33.60°, rel. 23
- (0 4 6), 40.19°, rel. 24
- (2 0 0), 45.17°, rel. 18
- (1 7 4), 45.54°, rel. 27
- (2 6 1), 53.44°, rel. 16

Crystal structure
```
data_HfAlTl2Te5
_chemical_formula_sum 'Hf4 Al4 Tl8 Te20'
_space_group_name_H-M_alt 'C m c 21'
_space_group_IT_number 36
_cell_length_a 4.015
_cell_length_b 20.280
_cell_length_c 15.025
_cell_angle_alpha 90.00
_cell_angle_beta 90.00
_cell_angle_gamma 90.00
loop_
_space_group_symop_operation_xyz
'x,y,z'
'-x,-y,z+1/2'
'-x,y,z'
'x,-y,z+1/2'
'x+1/2,y+1/2,z'
'-x+1/2,-y+1/2,z+1/2'
'-x+1/2,y+1/2,z'
'x+1/2,-y+1/2,z+1/2'
loop_
_atom_site_label
_atom_site_type_symbol
_atom_site_fract_x
_atom_site_fract_y
_atom_site_fract_z
Hf1 Hf 0.000 0.204 0.000
Al1 Al 0.000 0.432 0.392
Tl1 Tl 0.000 0.124 0.641
Tl2 Tl 0.000 0.125 0.297
Te1 Te 0.000 0.053 0.005
Te2 Te 0.000 0.292 0.635
Te3 Te 0.000 0.304 0.356
Te4 Te 0.000 0.342 0.973
Te5 Te 0.000 0.500 0.244
```

---

# 5
The following is a simulated powder diffractogram of Hf2Ti3Al4. It was derived from a PBE-relaxed structure, using copper Kα.

Most intense lines, 5° ≤ 2θ ≤ 70°, in order of rising 2θ:
- (0 2 0), 18.44°, rel. 56
- (1 1 1), 21.19°, rel. 64
- (1 1 3), 28.43°, rel. 91
- (0 2 4), 32.57°, rel. 63
- (1 3 1), 33.93°, rel. 43
- (2 0 0), 36.16°, rel. 28
- (1 3 3), 39.04°, rel. 100
- (1 1 5), 39.34°, rel. 38
- (2 2 0), 40.88°, rel. 47
- (2 0 4), 45.46°, rel. 30

Crystal structure
```
data_Hf2Ti3Al4
_chemical_formula_sum 'Hf8 Ti12 Al16'
_space_group_name_H-M_alt 'F m m m'
_space_group_IT_number 69
_space_group_name_Hall '-F 2 2'
_cell_length_a 4.968
_cell_length_b 9.625
_cell_length_c 13.396
_cell_angle_alpha 90.00
_cell_angle_beta 90.00
_cell_angle_gamma 90.00
loop_
_atom_site_label
_atom_site_type_symbol
_atom_site_fract_x
_atom_site_fract_y
_atom_site_fract_z
Hf1 Hf 0.000 0.000 0.133
Ti1 Ti 0.000 0.000 0.500
Ti2 Ti 0.250 0.250 0.000
Al1 Al 0.000 0.160 0.323
```

---

# 6
The following is a simulated powder diffractogram of Hf9Ti4Al11. It was derived from a PBE-relaxed structure, using copper Kα.

Most intense lines, 5° ≤ 2θ ≤ 70°, in order of rising 2θ:
- (1 1 0), 7.26°, rel. 14
- (3 1 0), 16.62°, rel. 16
- (4 0 0), 21.17°, rel. 36
- (0 0 1), 30.28°, rel. 43
- (4 6 0), 37.26°, rel. 100
- (8 0 0), 43.10°, rel. 20
- (0 6 1), 43.37°, rel. 26
- (4 6 1), 48.74°, rel. 29
- (8 0 1), 53.58°, rel. 16
- (0 0 2), 62.83°, rel. 23

Crystal structure
```
data_Hf9Ti4Al11
_chemical_formula_sum 'Hf18 Ti8 Al22'
_space_group_name_H-M_alt 'C m m m'
_space_group_IT_number 65
_space_group_name_Hall '-C 2 2'
_cell_length_a 16.790
_cell_length_b 17.676
_cell_length_c 2.955
_cell_angle_alpha 90.00
_cell_angle_beta 90.00
_cell_angle_gamma 90.00
loop_
_atom_site_label
_atom_site_type_symbol
_atom_site_fract_x
_atom_site_fract_y
_atom_site_fract_z
Hf1 Hf 0.000 0.000 0.000
Hf2 Hf 0.121 0.414 0.000
Hf3 Hf 0.124 0.244 0.000
Ti1 Ti 0.139 0.082 0.000
Al1 Al 0.000 0.147 0.500
Al2 Al 0.000 0.328 0.500
Al3 Al 0.000 0.500 0.500
Al4 Al 0.246 0.500 0.500
Al5 Al 0.247 0.333 0.500
```

---

# 7
The following is a simulated powder diffractogram of Hf4Ti2Al. It was derived from a PBE-relaxed structure, using copper Kα.

Most intense lines, 5° ≤ 2θ ≤ 70°, in order of rising 2θ:
- (0 0 2), 18.57°, rel. 100
- (1 0 3), 32.28°, rel. 51
- (0 2 0), 33.85°, rel. 28
- (0 2 1), 35.17°, rel. 47
- (2 1 0), 36.11°, rel. 90
- (1 1 3), 36.58°, rel. 56
- (0 2 2), 38.88°, rel. 39
- (2 1 2), 40.90°, rel. 88
- (0 1 4), 41.46°, rel. 38
- (2 3 1), 62.88°, rel. 30

Crystal structure
```
data_Hf4Ti2Al
_chemical_formula_sum 'Hf8 Ti4 Al2'
_space_group_name_H-M_alt 'P m n a'
_space_group_IT_number 53
_cell_length_a 5.635
_cell_length_b 5.296
_cell_length_c 9.557
_cell_angle_alpha 90.00
_cell_angle_beta 90.00
_cell_angle_gamma 90.00
loop_
_space_group_symop_operation_xyz
'x,y,z'
'-x,-y,-z'
'-x+1/2,-y,z+1/2'
'x+1/2,y,-z+1/2'
'x,-y,-z'
'-x,y,z'
'-x+1/2,y,-z+1/2'
'x+1/2,-y,z+1/2'
loop_
_atom_site_label
_atom_site_type_symbol
_atom_site_fract_x
_atom_site_fract_y
_atom_site_fract_z
Hf1 Hf 0.000 0.055 0.169
Hf2 Hf 0.250 0.439 0.750
Ti1 Ti 0.000 0.246 0.475
Al1 Al 0.000 0.500 0.000
```

---

# 8
The following is a simulated powder diffractogram of HfTiAl3. It was derived from a PBE-relaxed structure, using copper Kα.

Most intense lines, 5° ≤ 2θ ≤ 70°, in order of rising 2θ:
- (0 0 2), 13.83°, rel. 77
- (1 0 1), 24.31°, rel. 64
- (0 0 4), 27.87°, rel. 21
- (1 0 3), 31.42°, rel. 100
- (1 1 0), 33.16°, rel. 39
- (1 1 2), 36.08°, rel. 98
- (1 0 5), 42.49°, rel. 54
- (2 0 0), 47.59°, rel. 34
- (2 1 3), 58.15°, rel. 34
- (2 1 5), 65.69°, rel. 29

Crystal structure
```
data_HfTiAl3
_chemical_formula_sum 'Hf2 Ti2 Al6'
_space_group_name_H-M_alt 'I 4 m m'
_space_group_IT_number 107
_space_group_name_Hall 'I 4 -2'
_cell_length_a 3.821
_cell_length_b 3.821
_cell_length_c 12.804
_cell_angle_alpha 90.00
_cell_angle_beta 90.00
_cell_angle_gamma 90.00
loop_
_atom_site_label
_atom_site_type_symbol
_atom_site_fract_x
_atom_site_fract_y
_atom_site_fract_z
Hf1 Hf 0.000 0.000 0.000
Ti1 Ti 0.000 0.000 0.629
Al1 Al 0.000 0.000 0.429
Al2 Al 0.000 0.500 0.282
```